Diffraction record for Y5Os. The XRD peak list is computed, not measured: it uses DFT lattice parameters and positions (PBE) and Cu Kα, 1.54184 Å.

Most intense lines, 2θ = 15–90°, most intense first:
| d/Å | intensity |
| --- | --- |
| 2.725 | 100.0 |
| 2.598 | 99.0 |
| 2.774 | 57.4 |
| 2.887 | 41.9 |
| 5.701 | 31.7 |
| 2.195 | 21.2 |

Crystal structure
Cell lengths 12.332, 3.560, 8.478 Å; angles 90.00, 112.41, 90.00 degrees
Space group C2/m (No. 12)
Asymmetric unit:
Y  0.000  0.000  0.000 (multiplicity 2)
Y  0.132  0.500  0.370 (multiplicity 4)
Y  0.160  0.500  0.780 (multiplicity 4)
Os  0.000  0.000  0.500 (multiplicity 2)


Diffraction record for Y6Os7. The XRD peak list is computed, not measured: it uses DFT lattice parameters and positions (PBE) and Cu Kα, 1.54184 Å.

Most intense lines, 2θ = 15–90°, most intense first:
| d/Å | intensity |
| --- | --- |
| 2.392 | 100.0 |
| 2.187 | 74.3 |
| 2.335 | 40.1 |
| 5.112 | 35.8 |
| 1.494 | 30.7 |
| 2.239 | 28.7 |

Crystal structure
Cell lengths 5.4070, 5.4070, 30.6710 Å; angles 90.00, 90.00, 120.00 degrees
Space group R-3m (No. 166, hexagonal axes)
Asymmetric unit:
Y  0.0000  0.0000  0.0528 (multiplicity 6)
Y  0.0000  0.0000  0.1513 (multiplicity 6)
Y  0.0000  0.0000  0.3360 (multiplicity 6)
Os  0.0000  0.0000  0.5000 (multiplicity 3)
Os  0.0079  0.5039  0.9050 (multiplicity 18)


Diffraction record for Y6ZnOs2. The XRD peak list is computed, not measured: it uses DFT lattice parameters and positions (PBE) and Cu Kα, 1.54184 Å.

Most intense lines, 2θ = 15–90°, most intense first:
| d/Å | intensity |
| --- | --- |
| 2.538 | 100.0 |
| 2.585 | 76.0 |
| 2.683 | 64.8 |
| 2.545 | 53.6 |
| 3.908 | 45.6 |
| 4.742 | 44.3 |

Crystal structure
Cell lengths 9.412, 9.485, 10.405 Å; angles 90.00, 90.00, 90.00 degrees
Space group Immm (No. 71)
Asymmetric unit:
Y  0.000  0.185  0.170 (multiplicity 8)
Y  0.181  0.225  0.500 (multiplicity 8)
Y  0.197  0.500  0.254 (multiplicity 8)
Zn  0.000  0.500  0.000 (multiplicity 2)
Zn  0.000  0.500  0.500 (multiplicity 2)
Os  0.000  0.000  0.380 (multiplicity 4)
Os  0.180  0.000  0.000 (multiplicity 4)